# TlIn8Ga4
Calculated powder diffractogram, λ = 1.5418 Å (Cu Kα). Input: DFT lattice parameters and positions (GGA-PBE).

Structural model:
Lattice parameters (Å, degrees): 10.417 10.417 6.159 90.00 90.00 90.00
Space group I4/mmm (No. 139)
Inequivalent atoms, fractional coordinates:
Tl  0.000  0.000  0.000 x2
In  0.000  0.216  0.500 x8
In  0.000  0.345  0.000 x8
Ga  0.250  0.250  0.250 x8

Main lines, sorted by position (2θ = 15–90°):
2θ (°)	d/Å	I_rel	(hkl)
29.00	3.079	29	0 0 2
29.53	3.025	49	3 0 1
33.82	2.651	47	2 0 2
34.28	2.616	100	3 2 1
34.44	2.604	46	4 0 0
38.09	2.362	37	2 2 2
38.52	2.337	14	4 1 1
38.66	2.329	12	4 2 0
54.86	1.673	26	3 2 3
61.30	1.512	23	6 0 2
61.59	1.506	27	6 3 1
77.00	1.238	14	6 3 3